For Fe3Pt4, a cell relaxed with PBE gives the simulated powder X-ray diffraction pattern in this record (Cu Ka).

The 10 most intense peaks (15 to 90 degrees two-theta), low angle first:
d [Å], I_rel
5.053, 16
2.394, 84
2.163, 51
2.157, 100
1.918, 22
1.603, 17
1.382, 16
1.332, 53
1.197, 17
1.117, 16

Structure:
a = 4.788 Å, b = 4.788 Å, c = 5.053 Å
α = 90.00°, β = 90.00°, γ = 120.00°
Atoms (fractional coordinates):
Fe1 0.000 0.500 0.000
Fe2 0.500 0.000 0.000
Fe3 0.500 0.500 0.000
Pt1 0.000 0.000 0.254
Pt2 0.000 0.000 0.746
Pt3 0.333 0.667 0.500
Pt4 0.667 0.333 0.500

For Ag8Te3Br2, a cell relaxed with PBE gives the simulated powder X-ray diffraction pattern in this record (Cu Ka).

The 10 most intense peaks (15 to 90 degrees two-theta), low angle first:
d [Å], I_rel
5.899, 40
3.913, 36
2.736, 82
2.682, 100
2.433, 72
2.387, 47
2.281, 53
2.219, 79
2.207, 55
2.108, 59

Structure:
a = 8.100 Å, b = 8.100 Å, c = 14.320 Å
α = 105.46°, β = 105.46°, γ = 49.94°
Atoms (fractional coordinates):
Ag1 0.054 0.623 0.587
Ag2 0.083 0.086 0.201
Ag3 0.086 0.083 0.701
Ag4 0.151 0.282 0.082
Ag5 0.158 0.426 0.764
Ag6 0.282 0.151 0.582
Ag7 0.377 0.946 0.913
Ag8 0.426 0.158 0.264
Ag9 0.574 0.842 0.736
Ag10 0.623 0.054 0.087
Ag11 0.718 0.849 0.418
Ag12 0.842 0.574 0.236
Ag13 0.849 0.718 0.918
Ag14 0.914 0.917 0.299
Ag15 0.917 0.914 0.799
Ag16 0.946 0.377 0.413
Te1 0.167 0.547 0.392
Te2 0.326 0.674 0.750
Te3 0.453 0.833 0.108
Te4 0.547 0.167 0.892
Te5 0.674 0.326 0.250
Te6 0.833 0.453 0.608
Br1 0.097 0.653 0.097
Br2 0.347 0.903 0.403
Br3 0.653 0.097 0.597
Br4 0.903 0.347 0.903